MgFe2O4: simulated X-ray diffraction stick pattern (Cu Kα, 1.54184 Å), based on the GGA+U geometry in the Materials Project.
Kinematic intensities with the Lorentz-polarization factor, no thermal factor.

Principal peaks in the range 10 to 80 degrees two-theta, in order of falling intensity:
2θ/deg	intensity
34.83	100.0
61.40	50.2
55.93	36.7
42.32	31.6
17.99	29.6
29.58	25.7

Atomic structure:
```
MgFe2O4
1.0
3.020 1.744 4.932
-3.020 1.744 4.932
0.000 -3.487 4.932
Mg Fe O
2 4 8
Cartesian
0.000 0.000 0.000 Mg
0.000 0.000 5.583 Mg
0.000 -1.782 8.089 Fe
-1.543 0.891 8.089 Fe
0.000 0.000 11.209 Fe
1.543 0.891 8.089 Fe
0.000 -1.617 4.270 O
-1.400 0.808 4.270 O
0.000 0.000 2.019 O
-1.431 -0.826 6.896 O
1.400 0.808 4.270 O
0.000 0.000 9.222 O
1.431 -0.826 6.896 O
0.000 1.652 6.896 O
```

=====

MgFeO3: simulated X-ray diffraction stick pattern (Cu Kα, 1.54184 Å), based on the GGA+U geometry in the Materials Project.
Kinematic intensities with the Lorentz-polarization factor, no thermal factor.

Principal peaks in the range 10 to 80 degrees two-theta, in order of falling intensity:
2θ/deg	intensity
33.32	100.0
19.16	77.9
31.82	62.6
34.30	52.5
38.51	50.7
53.00	46.4

Atomic structure:
```
MgFeO3
1.0
4.993 0.000 0.000
2.319 4.505 0.000
0.062 2.785 4.633
Mg Fe O
2 2 6
Cartesian
1.244 2.163 1.970 Mg
6.130 5.127 2.664 Mg
3.592 3.717 0.183 Fe
3.781 3.574 4.450 Fe
2.017 3.851 1.143 O
2.974 5.242 3.546 O
4.580 5.086 1.097 O
2.793 2.204 3.536 O
4.400 2.048 1.087 O
5.357 3.440 3.490 O
```

=====

Mg4FeO5: simulated X-ray diffraction stick pattern (Cu Kα, 1.54184 Å), based on the GGA+U geometry in the Materials Project.
Kinematic intensities with the Lorentz-polarization factor, no thermal factor.

Principal peaks in the range 10 to 80 degrees two-theta, in order of falling intensity:
2θ/deg	intensity
42.11	100.0
61.30	69.9
42.43	49.0
11.64	18.7
36.29	17.0
36.40	16.7

Atomic structure:
```
Mg4FeO5
1.0
3.028 -4.261 0.000
3.028 4.261 0.000
-3.018 0.000 15.208
Mg Fe O
16 4 20
Cartesian
0.005 2.134 9.140 Mg
-1.505 0.000 10.652 Mg
0.008 2.131 12.150 Mg
-1.506 0.000 13.656 Mg
1.515 0.000 1.550 Mg
3.029 2.131 3.057 Mg
1.515 0.000 4.539 Mg
3.032 2.134 6.068 Mg
0.005 -2.134 9.140 Mg
1.522 0.000 10.668 Mg
0.008 -2.131 12.150 Mg
1.522 0.000 13.658 Mg
4.543 0.000 1.552 Mg
3.029 -2.131 3.057 Mg
4.542 0.000 4.556 Mg
3.032 -2.134 6.068 Mg
-1.509 0.000 7.604 Fe
3.028 2.130 0.000 Fe
1.518 0.000 7.604 Fe
3.028 -2.130 0.000 Fe
0.000 0.000 0.000 O
1.517 2.131 1.598 O
0.002 0.000 3.035 O
1.515 2.136 4.568 O
0.024 0.000 6.011 O
1.518 2.180 7.604 O
0.036 0.000 9.190 O
1.521 2.136 10.639 O
0.008 0.000 12.171 O
1.520 2.131 13.610 O
3.028 0.000 0.000 O
1.517 -2.131 1.598 O
3.029 0.000 3.037 O
1.515 -2.136 4.568 O
3.001 0.000 6.018 O
1.518 -2.180 7.604 O
3.013 0.000 9.197 O
1.521 -2.136 10.639 O
3.035 0.000 12.173 O
1.520 -2.131 13.610 O
```

=====

Mg4FeO5: simulated X-ray diffraction stick pattern (Cu Kα, 1.54184 Å), based on the GGA+U geometry in the Materials Project.
Kinematic intensities with the Lorentz-polarization factor, no thermal factor.

Principal peaks in the range 10 to 80 degrees two-theta, in order of falling intensity:
2θ/deg	intensity
41.92	100.0
61.37	54.9
42.69	47.3
36.31	35.1
77.15	18.9
13.83	15.1

Atomic structure:
```
Mg4FeO5
1.0
5.046 -1.522 0.000
5.046 1.522 0.000
-3.754 0.000 6.404
Mg Fe O
4 1 5
Cartesian
-0.511 0.000 2.560 Mg
2.277 0.000 1.274 Mg
4.061 0.000 5.130 Mg
6.849 0.000 3.844 Mg
5.046 0.000 0.000 Fe
-2.300 0.000 5.726 O
0.411 0.000 4.473 O
3.169 0.000 3.202 O
5.927 0.000 1.931 O
8.637 0.000 0.678 O
```

=====

MgFe4O6: simulated X-ray diffraction stick pattern (Cu Kα, 1.54184 Å), based on the GGA+U geometry in the Materials Project.
Kinematic intensities with the Lorentz-polarization factor, no thermal factor.

Principal peaks in the range 10 to 80 degrees two-theta, in order of falling intensity:
2θ/deg	intensity
50.43	100.0
34.37	90.7
61.57	38.5
30.89	36.6
35.78	33.7
22.95	32.6

Atomic structure:
```
MgFe4O6
1.0
2.609 1.506 5.025
-2.609 1.506 5.025
0.000 -3.013 5.025
Mg Fe O
1 4 6
Cartesian
0.000 0.000 0.000 Mg
0.000 0.000 2.598 Fe
0.000 0.000 5.346 Fe
0.000 0.000 9.729 Fe
0.000 0.000 12.477 Fe
-1.808 -0.030 6.166 O
-0.878 -1.581 8.910 O
0.930 -1.550 6.166 O
-0.930 1.550 8.910 O
0.878 1.581 6.166 O
1.808 0.030 8.910 O
```

=====

MgFe11O18: simulated X-ray diffraction stick pattern (Cu Kα, 1.54184 Å), based on the GGA+U geometry in the Materials Project.
Kinematic intensities with the Lorentz-polarization factor, no thermal factor.

Principal peaks in the range 10 to 80 degrees two-theta, in order of falling intensity:
2θ/deg	intensity
32.71	100.0
34.93	80.4
53.23	40.2
23.75	39.7
48.56	27.7
62.59	24.5

Atomic structure:
```
MgFe11O18
1.0
5.497 0.000 0.000
-0.698 7.502 0.000
-2.381 -3.743 7.701
Mg Fe O
1 11 18
Cartesian
0.000 0.000 0.000 Mg
-0.060 5.340 2.547 Fe
0.312 1.566 2.547 Fe
-0.049 0.033 5.137 Fe
-0.389 3.768 5.135 Fe
0.314 1.604 7.696 Fe
3.076 1.542 0.006 Fe
2.358 3.782 2.562 Fe
2.734 0.046 2.560 Fe
3.039 1.608 5.137 Fe
3.394 -2.183 5.146 Fe
5.091 3.781 0.010 Fe
-2.310 3.428 5.853 O
-1.596 4.573 3.563 O
-0.511 1.933 4.337 O
-1.242 0.823 6.692 O
0.427 3.411 1.795 O
-0.171 -1.801 5.923 O
0.776 -0.326 3.341 O
1.559 0.834 1.034 O
1.871 5.695 1.781 O
1.153 4.571 4.115 O
0.402 3.421 6.916 O
2.226 1.956 3.362 O
3.152 3.391 0.767 O
1.490 0.829 6.138 O
2.555 -1.778 6.908 O
4.261 0.806 1.569 O
3.525 -0.335 4.365 O
4.606 5.635 0.794 O
```

=====

MgFe2O4: simulated X-ray diffraction stick pattern (Cu Kα, 1.54184 Å), based on the GGA+U geometry in the Materials Project.
Kinematic intensities with the Lorentz-polarization factor, no thermal factor.

Principal peaks in the range 10 to 80 degrees two-theta, in order of falling intensity:
2θ/deg	intensity
34.86	100.0
61.44	49.0
29.59	33.7
55.96	33.2
42.35	22.9
17.99	14.0

Atomic structure:
```
MgFe2O4
1.0
5.228 -3.020 0.000
5.228 3.020 0.000
-3.522 0.000 19.702
Mg Fe O
8 16 32
Cartesian
0.000 0.000 0.000 Mg
-0.020 0.000 14.767 Mg
1.734 0.000 17.854 Mg
3.468 0.000 9.830 Mg
5.209 0.000 7.371 Mg
5.229 0.000 12.906 Mg
6.957 0.000 4.914 Mg
8.704 0.000 2.448 Mg
4.301 -1.521 19.694 Fe
-1.810 0.000 11.706 Fe
-1.788 0.000 17.290 Fe
1.769 0.000 3.101 Fe
4.342 1.510 4.912 Fe
2.553 1.476 14.763 Fe
1.688 0.000 6.739 Fe
1.705 0.000 12.360 Fe
4.301 1.521 19.694 Fe
6.063 1.489 9.831 Fe
5.181 0.000 1.809 Fe
2.553 -1.476 14.763 Fe
4.342 -1.510 4.912 Fe
5.151 0.000 16.624 Fe
8.732 0.000 8.002 Fe
6.063 -1.489 9.831 Fe
-0.099 0.000 3.747 O
2.672 1.570 3.737 O
-1.794 0.000 13.632 O
0.943 1.403 13.563 O
4.286 1.563 1.169 O
1.761 0.000 1.153 O
2.521 1.431 11.055 O
0.070 0.000 11.045 O
-0.172 0.000 18.514 O
2.684 1.625 18.499 O
1.693 0.000 8.720 O
4.397 1.460 8.656 O
4.257 1.587 15.971 O
1.751 0.000 15.857 O
6.017 1.454 6.106 O
3.552 0.000 6.096 O
3.335 0.000 13.579 O
0.943 -1.403 13.563 O
5.190 0.000 3.789 O
2.672 -1.570 3.737 O
2.521 -1.431 11.055 O
5.245 0.000 10.898 O
4.286 -1.563 1.169 O
7.041 0.000 1.160 O
6.877 0.000 8.665 O
4.397 -1.460 8.656 O
5.169 0.000 18.553 O
2.684 -1.625 18.499 O
6.017 -1.454 6.106 O
8.723 0.000 6.048 O
4.257 -1.587 15.971 O
7.026 0.000 15.962 O
```